Computed X-ray powder pattern
Compound: Pb3I5Cl
Radiation: Cu Kα
Structure: a DFT-relaxed cell (PBE, Alexandria)

Structure:
```
Pb3I5Cl
1.0
5.445 -15.606 0.000
5.445 15.606 0.000
0.000 0.000 4.772
Pb I Cl
6 10 2
direct
0.000 0.000 0.000
0.152 0.848 0.500
0.328 0.672 0.000
0.500 0.500 0.500
0.672 0.328 0.000
0.848 0.152 0.500
0.130 0.466 0.500
0.201 0.201 0.500
0.223 0.777 0.000
0.431 0.569 0.000
0.466 0.130 0.500
0.534 0.870 0.500
0.569 0.431 0.000
0.777 0.223 0.000
0.799 0.799 0.500
0.870 0.534 0.500
0.095 0.905 0.000
0.905 0.095 0.000
```

Most intense lines, 5 to 70 degrees two-theta, in order of rising 2θ:
| two_theta | intensity |
| --- | --- |
| 16.28 | 66 |
| 17.05 | 96 |
| 24.82 | 63 |
| 32.15 | 96 |
| 32.94 | 100 |
| 40.64 | 91 |

Computed X-ray powder pattern
Compound: Ba5Te4
Radiation: Cu Kα
Structure: a DFT-relaxed cell (PBE, Alexandria)

Structure:
```
Ba5Te4
1.0
-6.355 6.355 2.663
6.355 -6.355 2.663
6.355 6.355 -2.663
Ba Te
5 4
direct
0.000 0.000 0.000
0.329 0.329 0.659
0.329 0.671 0.000
0.671 0.329 0.000
0.671 0.671 0.341
0.000 0.265 0.265
0.000 0.735 0.735
0.265 0.000 0.265
0.735 0.000 0.735
```

Most intense lines, 5 to 70 degrees two-theta, in order of rising 2θ:
| two_theta | intensity |
| --- | --- |
| 9.84 | 22 |
| 26.89 | 100 |
| 29.82 | 26 |
| 30.41 | 16 |
| 33.62 | 42 |
| 45.57 | 16 |